The following is a theoretical powder diffraction line list of Rb7NbAs4. It was derived from a structure optimized by DFT (GGA-PBE), using λ = 1.5418 Å (Cu Kα).
Peak positions follow from Bragg's law for the DFT cell and can differ from measured ones.

Peak list (10 most intense, 2θ from 10° to 80°, by angle)
hkl, 2θ (°), I_rel
1 0 1, 13.04, 19
3 0 1, 26.87, 76
0 2 2, 27.56, 41
2 1 2, 27.87, 100
1 3 1, 30.85, 34
0 1 3, 32.06, 24
2 3 0, 32.52, 61
4 0 0, 33.31, 36
2 4 3, 52.14, 25
5 3 1, 52.26, 21

abc: 10.759 9.615 8.754
angles: 90.00 90.00 90.00
Space group Pmn2_1 (No. 31)
Inequivalent atoms, fractional coordinates:
Rb  0.000  0.030  0.000 (multiplicity 2)
Rb  0.000  0.338  0.787 (multiplicity 2)
Rb  0.000  0.889  0.515 (multiplicity 2)
Rb  0.211  0.532  0.496 (multiplicity 4)
Rb  0.215  0.167  0.331 (multiplicity 4)
Nb  0.000  0.673  0.121 (multiplicity 2)
As  0.000  0.418  0.198 (multiplicity 2)
As  0.000  0.683  0.833 (multiplicity 2)
As  0.196  0.801  0.213 (multiplicity 4)

=====

The following is a theoretical powder diffraction line list of NbAsS3. It was derived from a structure optimized by DFT (GGA-PBE), using λ = 1.5418 Å (Cu Kα).
Peak positions follow from Bragg's law for the DFT cell and can differ from measured ones.

Peak list (10 most intense, 2θ from 10° to 80°, by angle)
hkl, 2θ (°), I_rel
2 0 0, 12.33, 82
3 1 0, 20.44, 100
3 1 -1, 24.81, 32
1 3 1, 30.76, 54
3 1 -2, 35.85, 58
6 0 0, 37.57, 36
2 4 1, 40.26, 37
5 3 -1, 43.11, 35
5 3 1, 44.36, 28
1 3 -3, 53.51, 65

abc: 14.376 10.366 5.936
angles: 90.00 93.08 90.00
Space group C2/c (No. 15)
Inequivalent atoms, fractional coordinates:
Nb  0.000  0.061  0.250 (multiplicity 4)
Nb  0.000  0.215  0.750 (multiplicity 4)
As  0.174  0.413  0.299 (multiplicity 8)
S  0.092  0.413  0.955 (multiplicity 8)
S  0.114  0.228  0.449 (multiplicity 8)
S  0.116  0.082  0.946 (multiplicity 8)

=====

The following is a theoretical powder diffraction line list of Nb5Si2As2. It was derived from a structure optimized by DFT (GGA-PBE), using λ = 1.5418 Å (Cu Kα).
Peak positions follow from Bragg's law for the DFT cell and can differ from measured ones.

Peak list (10 most intense, 2θ from 10° to 80°, by angle)
hkl, 2θ (°), I_rel
0 2 1, 29.63, 48
1 1 2, 30.55, 33
3 1 2, 36.08, 60
4 2 0, 37.85, 100
4 0 2, 38.02, 53
5 1 1, 38.59, 56
4 2 1, 40.26, 73
1 3 1, 42.92, 47
1 1 3, 43.23, 48
5 3 3, 68.84, 26

abc: 13.389 6.754 6.694
angles: 90.00 90.00 90.00
Space group Cmce (No. 64)
Inequivalent atoms, fractional coordinates:
Nb  0.000  0.000  0.000 (multiplicity 4)
Nb  0.130  0.167  0.331 (multiplicity 16)
Si  0.000  0.126  0.627 (multiplicity 8)
As  0.207  0.000  0.000 (multiplicity 8)

=====

The following is a theoretical powder diffraction line list of TaNb3As. It was derived from a structure optimized by DFT (GGA-PBE), using λ = 1.5418 Å (Cu Kα).
Peak positions follow from Bragg's law for the DFT cell and can differ from measured ones.

Peak list (10 most intense, 2θ from 10° to 80°, by angle)
hkl, 2θ (°), I_rel
0 0 1, 10.72, 71
1 1 -1, 21.97, 22
1 1 2, 32.41, 39
3 1 -2, 35.28, 47
0 2 0, 37.51, 73
4 0 0, 38.73, 62
3 1 -3, 40.55, 88
1 1 3, 41.70, 100
4 2 0, 55.02, 45
1 3 3, 70.54, 33

abc: 9.856 4.795 8.745
angles: 90.00 109.35 90.00
Space group C2/m (No. 12)
Inequivalent atoms, fractional coordinates:
Ta  0.129  0.000  0.461 (multiplicity 4)
Nb  0.107  0.000  0.825 (multiplicity 4)
Nb  0.127  0.500  0.641 (multiplicity 4)
Nb  0.131  0.500  0.263 (multiplicity 4)
As  0.135  0.500  0.951 (multiplicity 4)